1.
Structure and theoretical powder diffractogram of Ac3PrCd3 (a cell relaxed with GGA-PBE; copper Kα).
Peak positions follow from Bragg's law for the DFT cell and can differ from measured ones.

Atomic structure:
```
data_Ac3PrCd3
_chemical_formula_sum 'Ac12 Pr4 Cd12'
_cell_length_a 11.0641
_cell_length_b 11.4863
_cell_length_c 7.9218
_cell_angle_alpha 90.00
_cell_angle_beta 90.00
_cell_angle_gamma 90.00
_symmetry_space_group_name_H-M 'C m m m'
_symmetry_Int_Tables_number 65
_symmetry_space_group_name_Hall '-C 2 2'
loop_
_atom_site_label
_atom_site_type_symbol
_atom_site_fract_x
_atom_site_fract_y
_atom_site_fract_z
Ac1 Ac 0.0000 0.2485 0.0000
Ac2 Ac 0.2255 0.0000 0.5000
Ac3 Ac 0.2493 0.0000 0.0000
Pr1 Pr 0.0000 0.2637 0.5000
Cd1 Cd 0.0000 0.5000 0.2633
Cd2 Cd 0.2500 0.2500 0.2608
```

Top 6 peaks for 2θ from 15° to 90°, in order of falling intensity:
- 31.86°, intensity 100, (2 2 2)
- 31.15°, intensity 27, (0 4 0)
- 32.37°, intensity 23, (4 0 0)
- 55.87°, intensity 20, (2 6 2)
- 22.31°, intensity 18, (2 2 0)
- 45.53°, intensity 18, (4 4 0)

***

2.
Structure and theoretical powder diffractogram of Ac5PrCd6 (a cell relaxed with GGA-PBE; copper Kα).
Peak positions follow from Bragg's law for the DFT cell and can differ from measured ones.

Atomic structure:
```
data_Ac5PrCd6
_chemical_formula_sum 'Ac10 Pr2 Cd12'
_cell_length_a 5.7136
_cell_length_b 17.1751
_cell_length_c 8.0917
_cell_angle_alpha 90.00
_cell_angle_beta 90.00
_cell_angle_gamma 90.00
_symmetry_space_group_name_H-M 'C m m m'
_symmetry_Int_Tables_number 65
_symmetry_space_group_name_Hall '-C 2 2'
loop_
_atom_site_label
_atom_site_type_symbol
_atom_site_fract_x
_atom_site_fract_y
_atom_site_fract_z
Ac1 Ac 0.0000 0.0000 0.0000
Ac2 Ac 0.0000 0.3320 0.0000
Ac3 Ac 0.0000 0.3331 0.5000
Pr1 Pr 0.0000 0.0000 0.5000
Cd1 Cd 0.0000 0.1623 0.2552
Cd2 Cd 0.0000 0.5000 0.2597
```

Top 6 peaks for 2θ from 15° to 90°, in order of falling intensity:
- 31.27°, intensity 100, (2 0 0)
- 55.66°, intensity 39, (3 3 2)
- 44.82°, intensity 19, (2 6 0)
- 74.12°, intensity 14, (3 9 2)
- 65.23°, intensity 10, (2 6 4)
- 21.98°, intensity 9, (0 0 2)

***

3.
Structure and theoretical powder diffractogram of SrAcPrCd (a cell relaxed with GGA-PBE; copper Kα).
Peak positions follow from Bragg's law for the DFT cell and can differ from measured ones.

Atomic structure:
```
data_SrAcPrCd
_chemical_formula_sum 'Sr1 Ac1 Pr1 Cd1'
_cell_length_a 3.9151
_cell_length_b 3.9151
_cell_length_c 9.9539
_cell_angle_alpha 90.00
_cell_angle_beta 90.00
_cell_angle_gamma 90.00
_symmetry_space_group_name_H-M 'P 4 m m'
_symmetry_Int_Tables_number 99
_symmetry_space_group_name_Hall 'P 4 -2'
loop_
_atom_site_label
_atom_site_type_symbol
_atom_site_fract_x
_atom_site_fract_y
_atom_site_fract_z
Sr1 Sr 0.0000 0.0000 0.0000
Ac1 Ac 0.5000 0.5000 0.3259
Pr1 Pr 0.0000 0.0000 0.5903
Cd1 Cd 0.5000 0.5000 0.7809
```

Top 6 peaks for 2θ from 15° to 90°, in order of falling intensity:
- 29.02°, intensity 100, (1 0 2)
- 32.34°, intensity 45, (1 1 0)
- 55.65°, intensity 32, (2 1 2)
- 46.38°, intensity 16, (2 0 0)
- 24.43°, intensity 15, (1 0 1)
- 49.24°, intensity 14, (1 1 4)

***

4.
Structure and theoretical powder diffractogram of AcPr2Tl2Cd2 (a cell relaxed with GGA-PBE; copper Kα).
Peak positions follow from Bragg's law for the DFT cell and can differ from measured ones.

Atomic structure:
```
data_AcPr2Tl2Cd2
_chemical_formula_sum 'Ac3 Pr6 Tl6 Cd6'
_cell_length_a 5.1097
_cell_length_b 5.1097
_cell_length_c 28.4765
_cell_angle_alpha 90.00
_cell_angle_beta 90.00
_cell_angle_gamma 120.00
_symmetry_space_group_name_H-M 'R -3 m'
_symmetry_Int_Tables_number 166
_symmetry_space_group_name_Hall '-R 3 2"'
loop_
_atom_site_label
_atom_site_type_symbol
_atom_site_fract_x
_atom_site_fract_y
_atom_site_fract_z
Ac1 Ac 0.0000 0.0000 0.0000
Pr1 Pr 0.0000 0.0000 0.1347
Tl1 Tl 0.0000 0.0000 0.2654
Cd1 Cd 0.0000 0.0000 0.4262
```

Top 6 peaks for 2θ from 15° to 90°, in order of falling intensity:
- 29.83°, intensity 100, (1 0 7)
- 35.13°, intensity 90, (1 1 0)
- 46.74°, intensity 29, (0 2 7)
- 59.78°, intensity 28, (2 1 7)
- 32.28°, intensity 28, (0 1 8)
- 63.02°, intensity 17, (3 0 0)